# 1
# Dy2NpP3
Simulated powder XRD pattern, λ = 1.5418 Å (Cu Kα). Input: DFT lattice parameters and positions (PBE).
Lines closer than 0.1° are merged.

Atomic structure:
a = 3.9888 Å, b = 3.9888 Å, c = 16.8756 Å
α = 90.00°, β = 90.00°, γ = 90.00°
Space group I4/mmm (No. 139)
Inequivalent atoms, fractional coordinates:
Dy 0.0000 0.0000 0.1680 x4
Np 0.0000 0.0000 0.5000 x2
P 0.0000 0.0000 0.0000 x2
P 0.0000 0.0000 0.3352 x4

The 10 most intense peaks (2θ from 10° to 90°), low angle first:
(hkl), two_theta, d [Å], Rel. int.
1 0 3, 27.4, 3.254, 97
1 1 0, 31.8, 2.818, 100
2 0 0, 45.5, 1.993, 74
2 1 3, 53.9, 1.700, 32
1 0 9, 54.0, 1.697, 16
2 0 6, 56.6, 1.627, 26
2 1 9, 73.2, 1.292, 13
3 1 0, 75.4, 1.261, 22
1 1 12, 75.5, 1.259, 11
3 1 6, 84.1, 1.151, 17

# 2
# NdSmHo5
Simulated powder XRD pattern, λ = 1.5418 Å (Cu Kα). Input: DFT lattice parameters and positions (PBE).
Lines closer than 0.1° are merged.

Atomic structure:
a = 11.6810 Å, b = 6.8103 Å, c = 12.1266 Å
α = 90.00°, β = 109.34°, γ = 90.00°
Space group C2/c (No. 15)
Inequivalent atoms, fractional coordinates:
Nd 0.0000 0.0263 0.2500 x4
Sm 0.2500 0.2500 0.0000 x4
Ho 0.0000 0.4119 0.7500 x4
Ho 0.0779 0.2747 0.4989 x8
Ho 0.2205 0.3608 0.2515 x8

The 10 most intense peaks (2θ from 10° to 90°), low angle first:
(hkl), two_theta, d [Å], Rel. int.
0 2 2, 30.5, 2.928, 94
3 1 -3, 30.6, 2.922, 77
3 1 1, 30.9, 2.898, 83
4 0 -2, 31.0, 2.884, 23
0 0 4, 31.3, 2.861, 100
4 0 0, 32.5, 2.756, 25
2 2 1, 33.2, 2.699, 46
2 2 -3, 35.5, 2.529, 38
4 0 -4, 37.1, 2.424, 25
6 2 -4, 56.6, 1.626, 24

# 3
# Sr5As3O13
Simulated powder XRD pattern, λ = 1.5418 Å (Cu Kα). Input: DFT lattice parameters and positions (PBE).
Lines closer than 0.1° are merged.

Atomic structure:
a = 10.2199 Å, b = 10.2199 Å, c = 7.4900 Å
α = 90.00°, β = 90.00°, γ = 120.00°
Space group P6_3/m (No. 176)
Inequivalent atoms, fractional coordinates:
Sr 0.0060 0.2541 0.2500 x6
Sr 0.3333 0.6667 0.0008 x4
As 0.0308 0.3983 0.7500 x6
O 0.0000 0.0000 0.2500 x2
O 0.0924 0.3435 0.5658 x12
O 0.1270 0.5937 0.7500 x6
O 0.1621 0.6762 0.2500 x6

The 10 most intense peaks (2θ from 10° to 90°), low angle first:
(hkl), two_theta, d [Å], Rel. int.
0 0 2, 23.8, 3.745, 28
2 1 0, 26.6, 3.345, 21
2 1 1, 29.2, 3.054, 100
1 1 2, 29.6, 3.021, 68
3 0 0, 30.3, 2.950, 59
2 2 2, 42.8, 2.111, 32
2 1 3, 45.3, 2.001, 34
2 3 1, 46.3, 1.960, 20
0 0 4, 48.6, 1.872, 18
3 0 4, 58.4, 1.581, 16